Structure and computed X-ray diffraction stick pattern of CdPtC6N6 (the GGA-PBE geometry in the Materials Project; a wavelength of 1.5418 Å).
No peak broadening, texture or thermal motion is included.

Most intense lines, 2θ from 5° to 70°, most intense first:
d [Å], 2θ (°), I/Imax, hkl
5.535, 16.0, 100.0, 2 0 0
3.914, 22.7, 46.7, 2 2 0
2.475, 36.3, 40.7, 4 2 0
2.767, 32.4, 22.6, 4 0 0
1.845, 49.4, 19.9, 6 0 0
2.260, 39.9, 17.6, 4 2 2
1.750, 52.3, 13.9, 6 2 0
1.479, 62.8, 13.3, 6 4 2
1.957, 46.4, 13.0, 4 4 0
1.535, 60.3, 11.2, 6 4 0

Cell and atoms:
Lattice parameters (Å, degrees): 11.0696 11.0696 11.0696 90.00 90.00 90.00
Space group Fm-3m (No. 225)
Asymmetric unit:
Cd (0.0000, 0.0000, 0.0000) [4 per cell]
Pt (0.0000, 0.0000, 0.5000) [4 per cell]
C (0.0000, 0.0000, 0.3179) [24 per cell]
N (0.0000, 0.0000, 0.2129) [24 per cell]